No. 1
# Pm3Cd2In2
Theoretical powder XRD pattern, Cu Kα (weighted mean of Kα1 and Kα2). Input: the PBE geometry in Alexandria.

Crystal structure
```
data_Pm3Cd2In2
_chemical_formula_sum 'Pm6 Cd4 In4'
_cell_length_a 4.843
_cell_length_b 22.600
_cell_length_c 3.465
_cell_angle_alpha 90.00
_cell_angle_beta 90.00
_cell_angle_gamma 90.00
_symmetry_space_group_name_H-M 'C m m m'
_symmetry_Int_Tables_number 65
_symmetry_space_group_name_Hall '-C 2 2'
loop_
_atom_site_label
_atom_site_type_symbol
_atom_site_fract_x
_atom_site_fract_y
_atom_site_fract_z
Pm1 Pm 0.000 0.000 0.000
Pm2 Pm 0.000 0.154 0.000
Cd1 Cd 0.000 0.284 0.500
In1 In 0.000 0.422 0.500
```

Main lines, sorted by position (2θ = 10–80°):
2θ 32.0, rel. 97.8, (1 1 1)
2θ 33.4, rel. 100.0, (1 7 0)
2θ 34.0, rel. 16.2, (1 3 1)
2θ 35.2, rel. 58.3, (0 6 1)
2θ 37.1, rel. 41.4, (2 0 0)
2θ 52.1, rel. 37.6, (2 6 1)
2θ 52.8, rel. 14.7, (0 0 2)
2θ 62.8, rel. 24.6, (1 13 1)
2θ 63.9, rel. 29.5, (1 7 2)
2θ 66.3, rel. 14.6, (2 0 2)

=====

No. 2
# La3Ge2Ru2
Theoretical powder XRD pattern, Cu Kα (weighted mean of Kα1 and Kα2). Input: the PBE geometry in Alexandria.

Crystal structure
```
data_La3Ge2Ru2
_chemical_formula_sum 'La12 Ge8 Ru8'
_cell_length_a 5.869
_cell_length_b 8.120
_cell_length_c 13.715
_cell_angle_alpha 90.00
_cell_angle_beta 90.00
_cell_angle_gamma 90.00
_symmetry_space_group_name_H-M 'P b c m'
_symmetry_Int_Tables_number 57
loop_
_symmetry_equiv_pos_as_xyz
'x,y,z'
'-x,-y,-z'
'-x,-y,z+1/2'
'x,y,-z+1/2'
'x,-y+1/2,-z'
'-x,y+1/2,z'
'-x,y+1/2,-z+1/2'
'x,-y+1/2,z+1/2'
loop_
_atom_site_label
_atom_site_type_symbol
_atom_site_fract_x
_atom_site_fract_y
_atom_site_fract_z
La1 La 0.126 0.232 0.250
La2 La 0.344 0.594 0.095
Ge1 Ge 0.114 0.250 0.000
Ge2 Ge 0.364 0.614 0.750
Ru1 Ru 0.148 0.531 0.589
```

Main lines, sorted by position (2θ = 10–80°):
2θ 32.2, rel. 40.7, (1 1 4)
2θ 32.4, rel. 53.0, (2 1 0)
2θ 33.1, rel. 25.4, (2 1 1)
2θ 33.2, rel. 49.3, (1 2 3)
2θ 34.2, rel. 53.4, (0 2 4)
2θ 36.6, rel. 74.0, (1 3 0)
2θ 38.1, rel. 100.0, (2 1 3)
2θ 39.4, rel. 40.4, (0 0 6)
2θ 54.8, rel. 26.5, (1 3 6)
2θ 55.9, rel. 27.2, (3 2 3)

=====

No. 3
# CaPrNd
Theoretical powder XRD pattern, Cu Kα (weighted mean of Kα1 and Kα2). Input: the PBE geometry in Alexandria.

Crystal structure
```
data_CaPrNd
_chemical_formula_sum 'Ca2 Pr2 Nd2'
_cell_length_a 3.759
_cell_length_b 3.759
_cell_length_c 15.918
_cell_angle_alpha 90.00
_cell_angle_beta 90.00
_cell_angle_gamma 90.00
_symmetry_space_group_name_H-M 'I 4 m m'
_symmetry_Int_Tables_number 107
_symmetry_space_group_name_Hall 'I 4 -2'
loop_
_atom_site_label
_atom_site_type_symbol
_atom_site_fract_x
_atom_site_fract_y
_atom_site_fract_z
Ca1 Ca 0.000 0.000 0.000
Pr1 Pr 0.000 0.000 0.325
Nd1 Nd 0.000 0.000 0.674
```

Main lines, sorted by position (2θ = 10–80°):
2θ 11.1, rel. 31.6, (0 0 2)
2θ 24.3, rel. 11.3, (1 0 1)
2θ 29.1, rel. 100.0, (1 0 3)
2θ 33.7, rel. 50.4, (1 1 0)
2θ 35.6, rel. 8.5, (1 1 2)
2θ 37.0, rel. 12.1, (1 0 5)
2θ 48.5, rel. 35.1, (2 0 0)
2θ 57.5, rel. 41.0, (2 1 3)
2θ 60.4, rel. 11.7, (2 0 6)
2θ 78.5, rel. 15.5, (3 0 3)

=====

No. 4
# VNiHg3
Theoretical powder XRD pattern, Cu Kα (weighted mean of Kα1 and Kα2). Input: the PBE geometry in Alexandria.

Crystal structure
```
data_VNiHg3
_chemical_formula_sum 'V1 Ni1 Hg3'
_cell_length_a 4.920
_cell_length_b 4.920
_cell_length_c 4.920
_cell_angle_alpha 90.00
_cell_angle_beta 90.00
_cell_angle_gamma 90.00
_symmetry_space_group_name_H-M 'P m -3 m'
_symmetry_Int_Tables_number 221
_symmetry_space_group_name_Hall '-P 4 2 3'
loop_
_atom_site_label
_atom_site_type_symbol
_atom_site_fract_x
_atom_site_fract_y
_atom_site_fract_z
V1 V 0.000 0.000 0.000
Ni1 Ni 0.500 0.500 0.500
Hg1 Hg 0.000 0.500 0.500
```

Main lines, sorted by position (2θ = 10–80°):
2θ 18.0, rel. 38.0, (1 0 0)
2θ 25.6, rel. 4.9, (1 1 0)
2θ 31.5, rel. 100.0, (1 1 1)
2θ 36.5, rel. 76.0, (2 0 0)
2θ 41.0, rel. 20.1, (2 1 0)
2θ 52.6, rel. 53.5, (2 2 0)
2θ 56.1, rel. 10.2, (3 0 0)
2θ 62.6, rel. 43.4, (3 1 1)
2θ 65.7, rel. 18.2, (2 2 2)
2θ 77.6, rel. 8.6, (4 0 0)

=====

No. 5
# V2TcIr3
Theoretical powder XRD pattern, Cu Kα (weighted mean of Kα1 and Kα2). Input: the PBE geometry in Alexandria.

Crystal structure
```
data_V2TcIr3
_chemical_formula_sum 'V8 Tc4 Ir12'
_cell_length_a 7.213
_cell_length_b 10.224
_cell_length_c 5.411
_cell_angle_alpha 90.00
_cell_angle_beta 90.00
_cell_angle_gamma 90.00
_symmetry_space_group_name_H-M 'I b a m'
_symmetry_Int_Tables_number 72
_symmetry_space_group_name_Hall '-I 2 2c'
loop_
_atom_site_label
_atom_site_type_symbol
_atom_site_fract_x
_atom_site_fract_y
_atom_site_fract_z
V1 V 0.216 0.135 0.000
Tc1 Tc 0.000 0.500 0.000
Ir1 Ir 0.000 0.000 0.250
Ir2 Ir 0.000 0.272 0.250
```

Main lines, sorted by position (2θ = 10–80°):
2θ 24.7, rel. 100.0, (2 0 0)
2θ 35.1, rel. 32.8, (0 4 0)
2θ 36.5, rel. 22.2, (1 1 2)
2θ 41.7, rel. 47.6, (2 0 2)
2θ 43.4, rel. 67.1, (2 4 0)
2θ 44.6, rel. 53.2, (1 3 2)
2θ 45.5, rel. 19.7, (2 2 2)
2θ 49.0, rel. 24.8, (0 4 2)
2θ 50.6, rel. 23.5, (4 0 0)
2θ 75.0, rel. 28.2, (2 0 4)

=====

No. 6
# Ga2Pd13
Theoretical powder XRD pattern, Cu Kα (weighted mean of Kα1 and Kα2). Input: the PBE geometry in Alexandria.

Crystal structure
```
data_Ga2Pd13
_chemical_formula_sum 'Ga2 Pd13'
_cell_length_a 4.869
_cell_length_b 6.348
_cell_length_c 8.072
_cell_angle_alpha 71.78
_cell_angle_beta 74.85
_cell_angle_gamma 82.07
_symmetry_space_group_name_H-M 'P -1'
_symmetry_Int_Tables_number 2
loop_
_symmetry_equiv_pos_as_xyz
'x,y,z'
'-x,-y,-z'
loop_
_atom_site_label
_atom_site_type_symbol
_atom_site_fract_x
_atom_site_fract_y
_atom_site_fract_z
Ga1 Ga 0.149 0.285 0.461
Pd1 Pd 0.000 0.500 0.000
Pd2 Pd 0.057 0.906 0.724
Pd3 Pd 0.209 0.689 0.215
Pd4 Pd 0.260 0.100 0.936
Pd5 Pd 0.301 0.502 0.656
Pd6 Pd 0.419 0.895 0.398
Pd7 Pd 0.474 0.301 0.138
```

Main lines, sorted by position (2θ = 10–80°):
2θ 39.6, rel. 100.0, (1 1 -2)
2θ 39.8, rel. 99.3, (0 2 3)
2θ 45.0, rel. 35.2, (1 3 1)
2θ 45.3, rel. 33.7, (-2 1 1)
2θ 48.2, rel. 27.3, (1 0 4)
2θ 65.6, rel. 10.6, (3 2 0)
2θ 66.1, rel. 10.7, (-1 4 2)
2θ 68.1, rel. 18.6, (-1 1 5)
2θ 79.6, rel. 12.3, (0 5 0)
2θ 79.7, rel. 11.5, (1 5 4)

=====

No. 7
# K2InPb7
Theoretical powder XRD pattern, Cu Kα (weighted mean of Kα1 and Kα2). Input: the PBE geometry in Alexandria.

Crystal structure
```
data_K2InPb7
_chemical_formula_sum 'K2 In1 Pb7'
_cell_length_a 5.075
_cell_length_b 5.075
_cell_length_c 14.375
_cell_angle_alpha 90.00
_cell_angle_beta 90.00
_cell_angle_gamma 90.00
_symmetry_space_group_name_H-M 'P -4 m 2'
_symmetry_Int_Tables_number 115
loop_
_symmetry_equiv_pos_as_xyz
'x,y,z'
'y,-x,-z'
'-x,-y,z'
'-y,x,-z'
'-x,y,z'
'-y,-x,-z'
'x,-y,z'
'y,x,-z'
loop_
_atom_site_label
_atom_site_type_symbol
_atom_site_fract_x
_atom_site_fract_y
_atom_site_fract_z
K1 K 0.000 0.500 0.242
In1 In 0.500 0.500 0.000
Pb1 Pb 0.000 0.000 0.000
Pb2 Pb 0.000 0.000 0.500
Pb3 Pb 0.000 0.500 0.640
Pb4 Pb 0.000 0.500 0.865
Pb5 Pb 0.500 0.500 0.500
```

Main lines, sorted by position (2θ = 10–80°):
2θ 12.3, rel. 23.1, (0 0 2)
2θ 18.5, rel. 42.0, (1 0 1)
2θ 25.6, rel. 18.5, (1 0 3)
2θ 27.8, rel. 49.2, (1 1 2)
2θ 35.4, rel. 100.0, (2 0 0)
2θ 35.9, rel. 20.2, (1 0 5)
2θ 37.6, rel. 13.6, (0 0 6)
2θ 50.9, rel. 19.9, (2 2 0)
2θ 51.3, rel. 14.7, (2 1 5)
2θ 63.5, rel. 34.9, (2 0 8)

=====

No. 8
# K10Au4O3
Theoretical powder XRD pattern, Cu Kα (weighted mean of Kα1 and Kα2). Input: the PBE geometry in Alexandria.

Crystal structure
```
data_K10Au4O3
_chemical_formula_sum 'K20 Au8 O6'
_cell_length_a 5.304
_cell_length_b 5.304
_cell_length_c 38.237
_cell_angle_alpha 90.00
_cell_angle_beta 90.00
_cell_angle_gamma 90.00
_symmetry_space_group_name_H-M 'I 4/m m m'
_symmetry_Int_Tables_number 139
_symmetry_space_group_name_Hall '-I 4 2'
loop_
_atom_site_label
_atom_site_type_symbol
_atom_site_fract_x
_atom_site_fract_y
_atom_site_fract_z
K1 K 0.000 0.000 0.070
K2 K 0.000 0.000 0.208
K3 K 0.000 0.500 0.000
K4 K 0.000 0.500 0.139
Au1 Au 0.000 0.000 0.298
Au2 Au 0.000 0.000 0.431
O1 O 0.000 0.000 0.000
O2 O 0.000 0.000 0.140
```

Main lines, sorted by position (2θ = 10–80°):
2θ 16.9, rel. 47.2, (1 0 1)
2θ 18.6, rel. 24.3, (0 0 8)
2θ 23.4, rel. 80.5, (1 0 7)
2θ 23.7, rel. 57.9, (1 1 0)
2θ 27.6, rel. 28.7, (1 1 6)
2θ 30.3, rel. 100.0, (1 1 8)
2θ 33.8, rel. 64.8, (2 0 0)
2θ 41.5, rel. 40.5, (2 1 7)
2θ 47.8, rel. 31.0, (2 0 14)
2θ 58.3, rel. 30.2, (3 1 8)

=====

No. 9
# Na2SnHg2Bi2
Theoretical powder XRD pattern, Cu Kα (weighted mean of Kα1 and Kα2). Input: the PBE geometry in Alexandria.

Crystal structure
```
data_Na2SnHg2Bi2
_chemical_formula_sum 'Na6 Sn3 Hg6 Bi6'
_cell_length_a 5.1983
_cell_length_b 5.1983
_cell_length_c 25.1730
_cell_angle_alpha 90.00
_cell_angle_beta 90.00
_cell_angle_gamma 120.00
_symmetry_space_group_name_H-M 'R -3 m'
_symmetry_Int_Tables_number 166
_symmetry_space_group_name_Hall '-R 3 2"'
loop_
_atom_site_label
_atom_site_type_symbol
_atom_site_fract_x
_atom_site_fract_y
_atom_site_fract_z
Na1 Na 0.0000 0.0000 0.1361
Sn1 Sn 0.0000 0.0000 0.0000
Hg1 Hg 0.0000 0.0000 0.4367
Bi1 Bi 0.0000 0.0000 0.2725
```

Main lines, sorted by position (2θ = 10–80°):
2θ 20.0, rel. 28.6, (1 0 1)
2θ 21.2, rel. 20.1, (0 0 6)
2θ 24.3, rel. 42.2, (1 0 4)
2θ 31.8, rel. 100.0, (1 0 7)
2θ 34.5, rel. 99.4, (1 1 0)
2θ 40.8, rel. 23.4, (1 1 6)
2θ 44.4, rel. 19.9, (0 1 11)
2θ 47.7, rel. 33.3, (0 2 7)
2θ 60.2, rel. 33.5, (2 1 7)
2θ 61.8, rel. 18.9, (3 0 0)

=====

No. 10
# DyGa3Ag3
Theoretical powder XRD pattern, Cu Kα (weighted mean of Kα1 and Kα2). Input: the PBE geometry in Alexandria.

Crystal structure
```
data_DyGa3Ag3
_chemical_formula_sum 'Dy2 Ga6 Ag6'
_cell_length_a 6.598
_cell_length_b 4.321
_cell_length_c 9.633
_cell_angle_alpha 90.00
_cell_angle_beta 104.73
_cell_angle_gamma 90.00
_symmetry_space_group_name_H-M 'P 1 21/m 1'
_symmetry_Int_Tables_number 11
loop_
_symmetry_equiv_pos_as_xyz
'x,y,z'
'-x,-y,-z'
'-x,y+1/2,-z'
'x,-y+1/2,z'
loop_
_atom_site_label
_atom_site_type_symbol
_atom_site_fract_x
_atom_site_fract_y
_atom_site_fract_z
Dy1 Dy 0.237 0.250 0.110
Ga1 Ga 0.223 0.750 0.897
Ga2 Ga 0.403 0.750 0.384
Ga3 Ga 0.438 0.250 0.843
Ag1 Ag 0.014 0.250 0.741
Ag2 Ag 0.145 0.250 0.452
Ag3 Ag 0.325 0.750 0.645
```

Main lines, sorted by position (2θ = 10–80°):
2θ 35.0, rel. 19.3, (2 1 0)
2θ 35.5, rel. 73.9, (1 1 -3)
2θ 35.6, rel. 46.6, (0 1 3)
2θ 36.3, rel. 15.7, (2 1 -2)
2θ 38.2, rel. 100.0, (2 1 1)
2θ 40.8, rel. 17.2, (2 1 -3)
2θ 41.8, rel. 57.5, (0 2 0)
2θ 42.0, rel. 23.9, (3 0 -2)
2θ 60.7, rel. 15.5, (3 2 -2)
2θ 72.3, rel. 16.3, (1 3 -3)

=====

No. 11
# AsI5F6
Theoretical powder XRD pattern, Cu Kα (weighted mean of Kα1 and Kα2). Input: the PBE geometry in Alexandria.

Crystal structure
```
data_AsI5F6
_chemical_formula_sum 'As4 I20 F24'
_cell_length_a 10.678
_cell_length_b 18.444
_cell_length_c 8.995
_cell_angle_alpha 90.00
_cell_angle_beta 124.73
_cell_angle_gamma 90.00
_symmetry_space_group_name_H-M 'C 1 2/c 1'
_symmetry_Int_Tables_number 15
loop_
_symmetry_equiv_pos_as_xyz
'x,y,z'
'-x,-y,-z'
'-x,y,-z+1/2'
'x,-y,z+1/2'
'x+1/2,y+1/2,z'
'-x+1/2,-y+1/2,-z'
'-x+1/2,y+1/2,-z+1/2'
'x+1/2,-y+1/2,z+1/2'
loop_
_atom_site_label
_atom_site_type_symbol
_atom_site_fract_x
_atom_site_fract_y
_atom_site_fract_z
As1 As 0.000 0.089 0.250
I1 I 0.000 0.500 0.000
I2 I 0.074 0.272 0.067
I3 I 0.220 0.390 0.056
F1 F 0.096 0.159 0.419
F2 F 0.100 0.022 0.419
F3 F 0.147 0.091 0.216
```

Main lines, sorted by position (2θ = 10–80°):
2θ 19.2, rel. 58.9, (2 2 -1)
2θ 20.2, rel. 100.0, (1 1 1)
2θ 20.6, rel. 81.9, (1 1 -2)
2θ 24.1, rel. 31.7, (0 0 2)
2θ 26.2, rel. 24.9, (1 5 0)
2θ 28.1, rel. 46.7, (2 4 0)
2θ 28.5, rel. 54.1, (2 4 -2)
2θ 29.5, rel. 31.5, (3 3 -1)
2θ 35.7, rel. 33.8, (3 5 -2)
2θ 46.4, rel. 23.1, (4 6 -1)

=====

No. 12
# Na2Cd9Ag6
Theoretical powder XRD pattern, Cu Kα (weighted mean of Kα1 and Kα2). Input: the PBE geometry in Alexandria.

Crystal structure
```
data_Na2Cd9Ag6
_chemical_formula_sum 'Na2 Cd9 Ag6'
_cell_length_a 5.9062
_cell_length_b 5.9062
_cell_length_c 14.0292
_cell_angle_alpha 90.00
_cell_angle_beta 90.00
_cell_angle_gamma 120.00
_symmetry_space_group_name_H-M 'P 6/m m m'
_symmetry_Int_Tables_number 191
_symmetry_space_group_name_Hall '-P 6 2'
loop_
_atom_site_label
_atom_site_type_symbol
_atom_site_fract_x
_atom_site_fract_y
_atom_site_fract_z
Na1 Na 0.0000 0.0000 0.1634
Cd1 Cd 0.0000 0.5000 0.0000
Cd2 Cd 0.0000 0.5000 0.3348
Ag1 Ag 0.3333 0.6667 0.1675
Ag2 Ag 0.3333 0.6667 0.5000
```

Main lines, sorted by position (2θ = 10–80°):
2θ 17.3, rel. 97.3, (1 0 0)
2θ 35.1, rel. 23.3, (2 0 0)
2θ 36.0, rel. 89.6, (1 1 3)
2θ 38.5, rel. 33.3, (0 0 6)
2θ 40.2, rel. 100.0, (2 0 3)
2θ 42.5, rel. 19.4, (1 0 6)
2θ 57.5, rel. 21.5, (3 0 3)
2θ 62.9, rel. 22.0, (2 2 0)
2θ 70.8, rel. 17.5, (2 0 9)
2θ 76.3, rel. 24.7, (2 2 6)

=====

No. 13
# Ac2PN5
Theoretical powder XRD pattern, Cu Kα (weighted mean of Kα1 and Kα2). Input: the PBE geometry in Alexandria.

Crystal structure
```
data_Ac2PN5
_chemical_formula_sum 'Ac4 P2 N10'
_cell_length_a 5.728
_cell_length_b 5.728
_cell_length_c 7.834
_cell_angle_alpha 90.00
_cell_angle_beta 90.00
_cell_angle_gamma 90.00
_symmetry_space_group_name_H-M 'I 4 m m'
_symmetry_Int_Tables_number 107
_symmetry_space_group_name_Hall 'I 4 -2'
loop_
_atom_site_label
_atom_site_type_symbol
_atom_site_fract_x
_atom_site_fract_y
_atom_site_fract_z
Ac1 Ac 0.000 0.500 0.000
P1 P 0.000 0.000 0.271
N1 N 0.000 0.000 0.482
N2 N 0.205 0.205 0.218
```

Main lines, sorted by position (2θ = 10–80°):
2θ 21.9, rel. 87.6, (1 1 0)
2θ 22.7, rel. 36.4, (0 0 2)
2θ 31.2, rel. 47.2, (2 0 0)
2θ 31.8, rel. 100.0, (1 1 2)
2θ 39.0, rel. 59.5, (2 0 2)
2θ 44.8, rel. 25.0, (2 2 0)
2θ 50.4, rel. 22.5, (3 1 0)
2θ 50.8, rel. 20.4, (2 2 2)
2θ 51.9, rel. 20.0, (1 1 4)
2θ 55.9, rel. 39.9, (3 1 2)